The following is a simulated powder diffractogram of PuVO6. It was derived from a crystal structure in Alexandria, relaxed with PBE+U, using Cu Ka.
Kinematic intensities with the Lorentz-polarization factor, no thermal factor.

Peak list (6 most intense, 10° ≤ 2θ ≤ 90°, low angle first)
hkl 0 0 1, 19.77 deg, d 4.490, intensity 22
hkl 1 0 0, 19.87 deg, d 4.467, intensity 22
hkl 1 1 0, 20.08 deg, d 4.422, intensity 43
hkl 0 1 0, 22.74 deg, d 3.910, intensity 55
hkl 1 1 1, 23.25 deg, d 3.827, intensity 100
hkl 0 1 2, 33.05 deg, d 2.711, intensity 26

Cell and atoms:
abc: 5.3996 5.4189 5.4247
angles: 60.71 89.99 60.66
Space group P-1 (No. 2)
Asymmetric unit:
Pu1 0.0000 0.0000 0.0000
V1 0.5000 0.0000 0.5000
O1 0.1897 0.0352 0.2762
O2 0.2760 0.0367 0.7743
O3 0.3065 0.4569 0.2706